Entry 1:
For Mo3Se2ClO8, a structure optimized by DFT (PBE+U) gives the simulated powder diffractogram in this record (Cu Kα X-rays).

Cell and atoms:
```
data_Mo3Se2ClO8
_symmetry_space_group_name_H-M 'P 1'
_symmetry_Int_Tables_number 1
_cell_length_a 7.1909
_cell_length_b 8.1696
_cell_length_c 10.3162
_cell_angle_alpha 89.78
_cell_angle_beta 89.96
_cell_angle_gamma 87.59
loop_
_symmetry_equiv_pos_as_xyz
'x,y,z'
loop_
_atom_site_label
_atom_site_type_symbol
_atom_site_fract_x
_atom_site_fract_y
_atom_site_fract_z
Mo1 Mo 0.0000 0.0000 0.0000
Mo2 Mo 0.0052 0.0009 0.4999
Mo3 Mo 0.2835 0.8033 0.7514
Mo4 Mo 0.5002 0.9995 0.0013
Mo5 Mo 0.5049 0.0011 0.5013
Mo6 Mo 0.7213 0.1975 0.2496
Se1 Se 0.2566 0.6418 0.0532
Se2 Se 0.2634 0.6427 0.4502
Se3 Se 0.7415 0.3579 0.9474
Se4 Se 0.7483 0.3593 0.5504
Cl1 Cl 0.3900 0.1148 0.2509
Cl2 Cl 0.6149 0.8854 0.7563
O1 O 0.0553 0.7648 0.0732
O2 O 0.0633 0.7668 0.4272
O3 O 0.2437 0.9764 0.9041
O4 O 0.2485 0.9772 0.5971
O5 O 0.2627 0.6131 0.8865
O6 O 0.2644 0.6134 0.6169
O7 O 0.4400 0.7674 0.0790
O8 O 0.4482 0.7679 0.4270
O9 O 0.5575 0.2326 0.9242
O10 O 0.5647 0.2331 0.5767
O11 O 0.7388 0.3875 0.1142
O12 O 0.7427 0.3877 0.3838
O13 O 0.7571 0.0234 0.0972
O14 O 0.7609 0.0246 0.4041
O15 O 0.9425 0.2345 0.9261
O16 O 0.9493 0.2359 0.5716
```

Largest 10 diffraction maxima, in order of rising 2θ, 10° ≤ 2θ ≤ 90°:
2θ/deg	d_spacing	intensity	(hkl)
10.84	8.162	100	0 1 0
16.09	5.509	75	1 1 0
16.78	5.284	94	1 -1 0
17.19	5.158	73	0 0 2
27.55	3.238	33	2 -1 0
28.11	3.174	32	0 1 3
31.92	2.804	45	2 1 2
32.65	2.742	41	2 -1 2
37.31	2.410	28	0 3 2
37.44	2.402	31	0 3 -2

Entry 2:
For SmMoClO4, a structure optimized by DFT (PBE+U) gives the simulated powder diffractogram in this record (Cu Kα X-rays).

Cell and atoms:
```
data_SmMoClO4
_symmetry_space_group_name_H-M 'C 1 2/m 1'
_symmetry_Int_Tables_number 12
_cell_length_a 10.4693
_cell_length_b 7.4762
_cell_length_c 7.0065
_cell_angle_alpha 90.00
_cell_angle_beta 106.81
_cell_angle_gamma 90.00
loop_
_symmetry_equiv_pos_as_xyz
'x,y,z'
'-x,-y,-z'
'-x,y,-z'
'x,-y,z'
'x+1/2,y+1/2,z'
'-x+1/2,-y+1/2,-z'
'-x+1/2,y+1/2,-z'
'x+1/2,-y+1/2,z'
loop_
_atom_site_label
_atom_site_type_symbol
_atom_site_fract_x
_atom_site_fract_y
_atom_site_fract_z
Sm1 Sm 0.2217 0.0000 0.1132
Mo1 Mo 0.1374 0.5000 0.2683
Cl1 Cl 0.0111 0.0000 0.7650
O1 O 0.0398 0.5000 0.7934
O2 O 0.1969 0.3130 0.1512
O3 O 0.2068 0.5000 0.5307
```

Largest 10 diffraction maxima, in order of rising 2θ, 10° ≤ 2θ ≤ 90°:
2θ/deg	d_spacing	intensity	(hkl)
13.20	6.707	57	0 0 1
17.70	5.011	48	2 0 0
23.80	3.738	100	0 2 0
25.07	3.552	53	2 0 1
28.16	3.169	52	1 1 -2
28.78	3.102	57	3 1 -1
34.12	2.628	39	3 1 -2
34.84	2.575	26	2 2 1
45.01	2.014	49	5 1 -1
48.85	1.864	27	3 3 -2

Entry 3:
For TbMoClO4, a structure optimized by DFT (PBE+U) gives the simulated powder diffractogram in this record (Cu Kα X-rays).

Cell and atoms:
```
data_TbMoClO4
_symmetry_space_group_name_H-M 'C 1 2/m 1'
_symmetry_Int_Tables_number 12
_cell_length_a 10.3465
_cell_length_b 7.3600
_cell_length_c 6.9392
_cell_angle_alpha 90.00
_cell_angle_beta 107.15
_cell_angle_gamma 90.00
loop_
_symmetry_equiv_pos_as_xyz
'x,y,z'
'-x,-y,-z'
'-x,y,-z'
'x,-y,z'
'x+1/2,y+1/2,z'
'-x+1/2,-y+1/2,-z'
'-x+1/2,y+1/2,-z'
'x+1/2,-y+1/2,z'
loop_
_atom_site_label
_atom_site_type_symbol
_atom_site_fract_x
_atom_site_fract_y
_atom_site_fract_z
Tb1 Tb 0.2217 0.0000 0.1123
Mo1 Mo 0.1375 0.5000 0.2689
Cl1 Cl 0.0104 0.0000 0.7665
O1 O 0.0422 0.5000 0.7967
O2 O 0.1988 0.3102 0.1524
O3 O 0.2065 0.5000 0.5347
```

Largest 10 diffraction maxima, in order of rising 2θ, 10° ≤ 2θ ≤ 90°:
2θ/deg	d_spacing	intensity	(hkl)
13.35	6.631	62	0 0 1
17.94	4.943	52	2 0 0
24.18	3.680	100	0 2 0
25.45	3.499	54	2 0 1
28.46	3.136	55	1 1 -2
29.11	3.067	59	3 1 -1
34.45	2.603	41	3 1 -2
35.40	2.536	27	2 2 1
46.33	1.960	26	1 1 3
49.56	1.839	43	0 4 0

Entry 4:
For Te2MoCl4O, a structure optimized by DFT (PBE+U) gives the simulated powder diffractogram in this record (Cu Kα X-rays).

Cell and atoms:
```
data_Te2MoCl4O
_symmetry_space_group_name_H-M 'P 1 21/c 1'
_symmetry_Int_Tables_number 14
_cell_length_a 10.9708
_cell_length_b 7.1901
_cell_length_c 16.3063
_cell_angle_alpha 90.00
_cell_angle_beta 131.45
_cell_angle_gamma 90.00
loop_
_symmetry_equiv_pos_as_xyz
'x,y,z'
'-x,-y,-z'
'-x,y+1/2,-z+1/2'
'x,-y+1/2,z+1/2'
loop_
_atom_site_label
_atom_site_type_symbol
_atom_site_fract_x
_atom_site_fract_y
_atom_site_fract_z
Te1 Te 0.9999 0.2132 0.0728
Te2 Te 0.2074 0.5733 0.6357
Mo1 Mo 0.3197 0.1856 0.4543
Cl1 Cl 0.0451 0.1000 0.3115
Cl2 Cl 0.3136 0.0077 0.5782
Cl3 Cl 0.3312 0.2218 0.8168
Cl4 Cl 0.3821 0.6683 0.9132
O1 O 0.3049 0.0990 0.9894
```

Largest 10 diffraction maxima, in order of rising 2θ, 10° ≤ 2θ ≤ 90°:
2θ/deg	d_spacing	intensity	(hkl)
10.76	8.223	29	1 0 0
14.49	6.111	49	0 0 2
14.73	6.013	100	1 1 -1
16.16	5.485	28	2 0 -2
20.36	4.361	95	2 1 -2
21.72	4.092	31	2 1 -3
25.23	3.530	42	2 1 -4
34.18	2.624	30	1 2 2
35.70	2.515	30	3 2 -2
44.27	2.046	29	3 0 2